Entry 1:
This entry pairs a crystal structure of PrGa3 with its computed X-ray powder pattern. Radiation: a wavelength of 1.5418 Å. Structure: a PBE-relaxed structure.
Peak positions follow from Bragg's law for the DFT cell and can differ from measured ones.

Structure:
abc: 6.5170 6.5170 4.6229
angles: 90.00 90.00 120.00
Space group P6_3/mmc (No. 194)
One atom of each set of equivalent atoms:
1 Pr 0.3333 0.6667 0.2500 [2 per cell]
2 Ga 0.1423 0.2847 0.7500 [6 per cell]

Most intense lines, 5° ≤ 2θ ≤ 70°, most intense first:
2θ 37.33, I 100, hkl 2 0 1
2θ 31.71, I 25, hkl 2 0 0
2θ 38.97, I 22, hkl 0 0 2
2θ 24.90, I 21, hkl 1 0 1
2θ 69.50, I 16, hkl 2 0 3
2θ 56.48, I 16, hkl 2 2 0
2θ 51.08, I 13, hkl 2 0 2
2θ 69.68, I 10, hkl 4 0 1

Entry 2:
This entry pairs a crystal structure of PrGa3Pt with its computed X-ray powder pattern. Radiation: a wavelength of 1.5418 Å. Structure: a PBE-relaxed structure.
Peak positions follow from Bragg's law for the DFT cell and can differ from measured ones.

Structure:
abc: 4.2463 4.2463 10.8444
angles: 90.00 90.00 90.00
Space group I-4m2 (No. 119)
One atom of each set of equivalent atoms:
1 Pr 0.0000 0.0000 0.0000 [2 per cell]
2 Ga 0.0000 0.0000 0.3846 [4 per cell]
3 Ga 0.0000 0.5000 0.2500 [2 per cell]
4 Pt 0.0000 0.5000 0.7500 [2 per cell]

Most intense lines, 5° ≤ 2θ ≤ 70°, most intense first:
2θ 34.13, I 100, hkl 1 1 2
2θ 42.58, I 46, hkl 2 0 0
2θ 32.53, I 41, hkl 1 0 3
2θ 22.49, I 23, hkl 1 0 1
2θ 47.05, I 20, hkl 1 0 5
2θ 54.59, I 19, hkl 2 1 3
2θ 45.05, I 18, hkl 1 1 4
2θ 61.80, I 15, hkl 2 2 0

Entry 3:
This entry pairs a crystal structure of Pr2Ga9Ru3 with its computed X-ray powder pattern. Radiation: a wavelength of 1.5418 Å. Structure: a PBE-relaxed structure.
Peak positions follow from Bragg's law for the DFT cell and can differ from measured ones.

Structure:
abc: 13.0737 7.6335 9.8982
angles: 90.00 90.00 90.00
Space group Cmcm (No. 63)
One atom of each set of equivalent atoms:
1 Pr 0.1640 0.1671 0.2500 [8 per cell]
2 Ga 0.0000 0.1271 0.7500 [4 per cell]
3 Ga 0.0000 0.3375 0.0558 [8 per cell]
4 Ga 0.1045 0.4404 0.7500 [8 per cell]
5 Ga 0.1647 0.1705 0.5722 [16 per cell]
6 Ru 0.0000 0.0000 0.0000 [4 per cell]
7 Ru 0.1721 0.5000 0.0000 [8 per cell]

Most intense lines, 5° ≤ 2θ ≤ 70°, most intense first:
2θ 36.12, I 100, hkl 3 1 3
2θ 41.08, I 86, hkl 3 3 0
2θ 35.98, I 56, hkl 0 2 3
2θ 41.44, I 41, hkl 6 0 0
2θ 36.31, I 41, hkl 0 0 4
2θ 55.99, I 32, hkl 3 3 4
2θ 37.34, I 18, hkl 4 2 1
2θ 29.72, I 17, hkl 3 1 2

Entry 4:
This entry pairs a crystal structure of PrGaSi with its computed X-ray powder pattern. Radiation: a wavelength of 1.5418 Å. Structure: a PBE-relaxed structure.
Peak positions follow from Bragg's law for the DFT cell and can differ from measured ones.

Structure:
abc: 4.2515 4.2515 14.3689
angles: 90.00 90.00 90.00
Space group I4_1md (No. 109)
One atom of each set of equivalent atoms:
1 Pr 0.0000 0.0000 0.0000 [4 per cell]
2 Ga 0.0000 0.0000 0.5835 [4 per cell]
3 Si 0.0000 0.0000 0.4164 [4 per cell]

Most intense lines, 5° ≤ 2θ ≤ 70°, most intense first:
2θ 32.28, I 100, hkl 1 1 2
2θ 37.79, I 45, hkl 1 0 5
2θ 28.06, I 41, hkl 1 0 3
2θ 42.53, I 36, hkl 2 0 0
2θ 58.18, I 25, hkl 2 1 5
2θ 49.30, I 21, hkl 1 0 7
2θ 67.10, I 16, hkl 2 1 7
2θ 51.73, I 15, hkl 2 1 3

Entry 5:
This entry pairs a crystal structure of Ga2Pt with its computed X-ray powder pattern. Radiation: a wavelength of 1.5418 Å. Structure: a PBE-relaxed structure.
Peak positions follow from Bragg's law for the DFT cell and can differ from measured ones.

Structure:
abc: 8.6419 8.6419 22.2801
angles: 90.00 90.00 90.00
Space group I4_1/acd (No. 142, origin choice 2)
One atom of each set of equivalent atoms:
1 Ga 0.0416 0.0217 0.3122 [32 per cell]
2 Ga 0.0422 0.0216 0.4379 [32 per cell]
3 Pt 0.0000 0.2500 0.0151 [16 per cell]
4 Pt 0.1984 0.0516 0.6250 [16 per cell]

Most intense lines, 5° ≤ 2θ ≤ 70°, most intense first:
2θ 26.10, I 100, hkl 2 0 4
2θ 43.99, I 58, hkl 2 2 8
2θ 43.37, I 29, hkl 4 1 1
2θ 41.81, I 26, hkl 4 0 0
2θ 41.01, I 19, hkl 3 1 6
2θ 49.96, I 15, hkl 4 2 4
2θ 44.95, I 15, hkl 4 1 3
2θ 68.15, I 12, hkl 5 3 6

Entry 6:
This entry pairs a crystal structure of Ga3Pt5 with its computed X-ray powder pattern. Radiation: a wavelength of 1.5418 Å. Structure: a PBE-relaxed structure.
Peak positions follow from Bragg's law for the DFT cell and can differ from measured ones.

Structure:
abc: 7.5432 8.1447 3.9949
angles: 90.00 90.00 90.00
Space group Cmmm (No. 65)
One atom of each set of equivalent atoms:
1 Ga 0.0000 0.0000 0.0000 [2 per cell]
2 Ga 0.0000 0.2855 0.5000 [4 per cell]
3 Pt 0.0000 0.5000 0.0000 [2 per cell]
4 Pt 0.2087 0.0000 0.5000 [4 per cell]
5 Pt 0.2500 0.2500 0.0000 [4 per cell]

Most intense lines, 5° ≤ 2θ ≤ 70°, most intense first:
2θ 39.62, I 100, hkl 2 2 1
2θ 45.41, I 19, hkl 0 0 2
2θ 44.50, I 18, hkl 0 4 0
2θ 65.46, I 12, hkl 0 4 2
2θ 48.26, I 11, hkl 4 0 0
2θ 31.37, I 10, hkl 0 2 1
2θ 37.43, I 8, hkl 3 1 0
2θ 68.42, I 8, hkl 4 0 2